Record 1
Structure and simulated powder XRD pattern of Pa3Re (a DFT-relaxed cell (GGA-PBE, the Materials Project); Cu Ka).
Lines closer than 0.1° are merged.

Peak list (6 most intense, 2θ = 10–90°, sorted by position)
(1 1 1), 21.83 deg, I 1; (2 2 0), 36.03 deg, I 100; (4 0 0), 51.87 deg, I 18; (4 2 2), 64.77 deg, I 38; (4 4 0), 76.41 deg, I 12; (6 2 0), 87.49 deg, I 17

Atomic structure:
```
data_Pa3Re
_chemical_formula_sum 'Pa12 Re4'
_space_group_name_H-M_alt 'F m -3 m'
_space_group_IT_number 225
_space_group_name_Hall '-F 4 2 3'
_cell_length_a 7.0513
_cell_length_b 7.0513
_cell_length_c 7.0513
_cell_angle_alpha 90.00
_cell_angle_beta 90.00
_cell_angle_gamma 90.00
loop_
_atom_site_label
_atom_site_fract_x
_atom_site_fract_y
_atom_site_fract_z
Pa1 0.0000 0.0000 0.0000
Pa2 0.2500 0.2500 0.2500
Re1 0.0000 0.0000 0.5000
```

=====

Record 2
Structure and simulated powder XRD pattern of CdCoCu3Se4 (a DFT-relaxed cell (GGA-PBE, the Materials Project); Cu Ka).
Lines closer than 0.1° are merged.

Peak list (10 most intense, 2θ = 10–90°, sorted by position)
(1 1 0), 21.65 deg, I 17; (1 1 1), 26.60 deg, I 93; (2 1 1), 37.97 deg, I 9; (2 2 0), 44.13 deg, I 100; (3 1 1), 52.27 deg, I 40; (3 2 1), 59.59 deg, I 5; (4 0 0), 64.18 deg, I 15; (3 3 1), 70.75 deg, I 15; (4 2 2), 81.18 deg, I 30; (3 3 3), 87.28 deg, I 11

Atomic structure:
```
data_CdCoCu3Se4
_chemical_formula_sum 'Cd1 Co1 Cu3 Se4'
_space_group_name_H-M_alt 'P -4 3 m'
_space_group_IT_number 215
_space_group_name_Hall 'P -4 2 3'
_cell_length_a 5.8047
_cell_length_b 5.8047
_cell_length_c 5.8047
_cell_angle_alpha 90.00
_cell_angle_beta 90.00
_cell_angle_gamma 90.00
loop_
_atom_site_label
_atom_site_fract_x
_atom_site_fract_y
_atom_site_fract_z
Cd1 0.0000 0.0000 0.0000
Co1 0.5000 0.5000 0.5000
Cu1 0.0000 0.5000 0.5000
Se1 0.2639 0.2639 0.7361
```

=====

Record 3
Structure and simulated powder XRD pattern of Na3AlF6 (a DFT-relaxed cell (GGA-PBE, the Materials Project); Cu Ka).
Lines closer than 0.1° are merged.

Peak list (10 most intense, 2θ = 10–90°, sorted by position)
(0 1 1), 18.81 deg, I 32; (0 0 2), 22.11 deg, I 57; (0 2 0), 30.71 deg, I 16; (1 1 2), 31.46 deg, I 48; (0 2 2), 38.14 deg, I 41; (2 0 2), 39.46 deg, I 41; (0 0 4), 45.01 deg, I 44; (2 2 0), 45.17 deg, I 100; (2 1 3), 49.80 deg, I 13; (2 2 4), 65.67 deg, I 42

Atomic structure:
```
data_Na3AlF6
_chemical_formula_sum 'Na6 Al2 F12'
_space_group_name_H-M_alt 'I m m m'
_space_group_IT_number 71
_space_group_name_Hall '-I 2 2'
_cell_length_a 5.5443
_cell_length_b 5.8221
_cell_length_c 8.0559
_cell_angle_alpha 90.00
_cell_angle_beta 90.00
_cell_angle_gamma 90.00
loop_
_atom_site_label
_atom_site_fract_x
_atom_site_fract_y
_atom_site_fract_z
Na1 0.0000 0.0000 0.0000
Na2 0.0000 0.5000 0.2186
Al1 0.0000 0.0000 0.5000
F1 0.0000 0.0000 0.2738
F2 0.2357 0.2179 0.5000
```

=====

Record 4
Structure and simulated powder XRD pattern of Ho6Co2Sn (a DFT-relaxed cell (GGA-PBE, the Materials Project); Cu Ka).
Lines closer than 0.1° are merged.

Peak list (10 most intense, 2θ = 10–90°, sorted by position)
(0 1 3), 28.71 deg, I 19; (3 1 0), 30.18 deg, I 25; (2 2 2), 32.36 deg, I 100; (2 1 3), 34.64 deg, I 29; (1 3 2), 34.86 deg, I 40; (2 3 1), 35.29 deg, I 32; (3 2 1), 35.59 deg, I 17; (4 0 0), 38.55 deg, I 18; (6 0 0), 59.30 deg, I 15; (5 3 2), 60.42 deg, I 22

Atomic structure:
```
data_Ho6Co2Sn
_chemical_formula_sum 'Ho24 Co8 Sn4'
_space_group_name_H-M_alt 'I m m m'
_space_group_IT_number 71
_space_group_name_Hall '-I 2 2'
_cell_length_a 9.3419
_cell_length_b 9.5620
_cell_length_c 9.8723
_cell_angle_alpha 90.00
_cell_angle_beta 90.00
_cell_angle_gamma 90.00
loop_
_atom_site_label
_atom_site_fract_x
_atom_site_fract_y
_atom_site_fract_z
Ho1 0.0000 0.2107 0.2342
Ho2 0.1902 0.5000 0.1787
Ho3 0.2148 0.3145 0.5000
Co1 0.0000 0.3578 0.0000
Co2 0.0000 0.5000 0.3867
Sn1 0.0000 0.0000 0.0000
Sn2 0.0000 0.0000 0.5000
```

=====

Record 5
Structure and simulated powder XRD pattern of InCl2 (a DFT-relaxed cell (GGA-PBE, the Materials Project); Cu Ka).
Lines closer than 0.1° are merged.

Peak list (10 most intense, 2θ = 10–90°, sorted by position)
(0 0 2), 17.40 deg, I 43; (1 2 1), 22.25 deg, I 100; (1 1 2), 22.56 deg, I 28; (2 1 2), 30.30 deg, I 22; (1 2 3), 33.48 deg, I 30; (0 4 0), 34.09 deg, I 15; (2 1 3), 36.27 deg, I 20; (3 1 1), 37.11 deg, I 16; (0 4 2), 38.52 deg, I 17; (2 3 3), 43.93 deg, I 14

Atomic structure:
```
data_InCl2
_chemical_formula_sum 'In8 Cl16'
_space_group_name_H-M_alt 'P n n a'
_space_group_IT_number 52
_cell_length_a 7.7026
_cell_length_b 10.5191
_cell_length_c 10.1956
_cell_angle_alpha 90.00
_cell_angle_beta 90.00
_cell_angle_gamma 90.00
loop_
_space_group_symop_operation_xyz
'x,y,z'
'-x,-y,-z'
'-x+1/2,-y,z'
'x+1/2,y,-z'
'x,-y+1/2,-z+1/2'
'-x,y+1/2,z+1/2'
'-x+1/2,y+1/2,-z+1/2'
'x+1/2,-y+1/2,z+1/2'
loop_
_atom_site_label
_atom_site_fract_x
_atom_site_fract_y
_atom_site_fract_z
In1 0.1775 0.2500 0.2500
In2 0.2500 0.0000 0.6859
Cl1 0.0057 0.5387 0.3141
Cl2 0.1651 0.6801 0.9433
```